(1)
For Ac3PCl3, a crystal structure in Alexandria, relaxed with GGA-PBE gives the simulated X-ray powder pattern in this record (Cu Kα, 1.54184 Å).

a b c (Å): 12.255 12.255 12.255
angles (deg): 90.00 90.00 90.00
Space group I4_132 (No. 214)
Unique sites:
Ac: 0.116 0.366 0.125 x24
P: 0.125 0.125 0.125 x8
Cl: 0.123 0.127 0.625 x24

Largest 12 diffraction maxima, low angle first, 15 to 90 degrees two-theta:
17.73 deg, intensity 16
25.17 deg, intensity 78
27.23 deg, intensity 28
29.15 deg, intensity 100
34.32 deg, intensity 14
37.42 deg, intensity 14
41.69 deg, intensity 74
49.32 deg, intensity 40
51.68 deg, intensity 26
66.51 deg, intensity 16
68.48 deg, intensity 31
76.10 deg, intensity 23

***

(2)
For PrHo2Ti, a crystal structure in Alexandria, relaxed with GGA-PBE gives the simulated X-ray powder pattern in this record (Cu Kα, 1.54184 Å).

a b c (Å): 3.401 3.401 9.850
angles (deg): 90.00 90.00 90.00
Space group P4/mmm (No. 123)
Unique sites:
Pr: 0.000 0.000 0.000 x1
Ho: 0.500 0.500 0.291 x2
Ti: 0.000 0.000 0.500 x1

Largest 12 diffraction maxima, low angle first, 15 to 90 degrees two-theta:
27.16 deg, intensity 17
27.75 deg, intensity 20
31.98 deg, intensity 100
36.49 deg, intensity 10
37.40 deg, intensity 39
46.83 deg, intensity 16
53.24 deg, intensity 14
53.78 deg, intensity 17
53.92 deg, intensity 13
61.40 deg, intensity 7
64.08 deg, intensity 27
79.64 deg, intensity 11

***

(3)
For K3WCl7, a crystal structure in Alexandria, relaxed with GGA-PBE gives the simulated X-ray powder pattern in this record (Cu Kα, 1.54184 Å).

a b c (Å): 9.760 10.088 7.642
angles (deg): 90.00 108.79 90.00
Space group Cm (No. 8)
Unique sites:
K: 0.000 0.000 0.000 x2
K: 0.014 0.279 0.543 x4
W: 0.494 0.000 0.034 x2
Cl: 0.141 0.329 0.216 x4
Cl: 0.147 0.500 0.840 x2
Cl: 0.344 0.167 0.844 x4
Cl: 0.345 0.000 0.237 x2
Cl: 0.451 0.500 0.593 x2

Largest 12 diffraction maxima, low angle first, 15 to 90 degrees two-theta:
15.60 deg, intensity 100
17.58 deg, intensity 35
19.20 deg, intensity 88
19.91 deg, intensity 65
21.48 deg, intensity 94
25.93 deg, intensity 79
26.15 deg, intensity 48
31.57 deg, intensity 85
32.13 deg, intensity 67
40.39 deg, intensity 72
41.09 deg, intensity 36
44.58 deg, intensity 40

***

(4)
For Li2CaHg10, a crystal structure in Alexandria, relaxed with GGA-PBE gives the simulated X-ray powder pattern in this record (Cu Kα, 1.54184 Å).

a b c (Å): 6.379 13.131 15.209
angles (deg): 90.00 90.00 90.00
Space group Fmmm (No. 69)
Unique sites:
Li: 0.250 0.000 0.250 x8
Ca: 0.000 0.000 0.000 x4
Hg: 0.000 0.112 0.376 x16
Hg: 0.000 0.152 0.170 x16
Hg: 0.250 0.250 0.000 x8

Largest 12 diffraction maxima, low angle first, 15 to 90 degrees two-theta:
27.15 deg, intensity 43
27.98 deg, intensity 54
29.64 deg, intensity 35
30.40 deg, intensity 66
33.36 deg, intensity 85
35.41 deg, intensity 28
36.15 deg, intensity 81
36.78 deg, intensity 81
38.71 deg, intensity 31
39.39 deg, intensity 100
54.02 deg, intensity 29
56.83 deg, intensity 32

***

(5)
For PrNd4Er2, a crystal structure in Alexandria, relaxed with GGA-PBE gives the simulated X-ray powder pattern in this record (Cu Kα, 1.54184 Å).

a b c (Å): 12.084 24.454 6.493
angles (deg): 90.00 90.00 90.00
Space group Fdd2 (No. 43)
Unique sites:
Pr: 0.000 0.000 0.000 x8
Nd: 0.049 0.072 0.513 x16
Nd: 0.064 0.143 0.037 x16
Er: 0.026 0.216 0.562 x16

Largest 12 diffraction maxima, low angle first, 15 to 90 degrees two-theta:
29.57 deg, intensity 12
29.97 deg, intensity 100
30.48 deg, intensity 32
31.28 deg, intensity 65
31.91 deg, intensity 32
32.14 deg, intensity 23
36.76 deg, intensity 29
44.06 deg, intensity 10
50.15 deg, intensity 20
54.70 deg, intensity 15
60.15 deg, intensity 14
61.91 deg, intensity 10

***

(6)
For Nd8Co3RuBr4, a crystal structure in Alexandria, relaxed with GGA-PBE gives the simulated X-ray powder pattern in this record (Cu Kα, 1.54184 Å).

a b c (Å): 13.896 8.006 9.135
angles (deg): 90.00 120.58 90.00
Space group C2/m (No. 12)
Unique sites:
Nd: 0.019 0.247 0.304 x8
Nd: 0.230 0.000 0.690 x4
Nd: 0.234 0.500 0.696 x4
Co: 0.000 0.000 0.500 x2
Co: 0.250 0.250 0.500 x4
Ru: 0.000 0.500 0.500 x2
Br: 0.000 0.000 0.000 x2
Br: 0.000 0.500 0.000 x2
Br: 0.250 0.250 0.000 x4

Largest 12 diffraction maxima, low angle first, 15 to 90 degrees two-theta:
26.78 deg, intensity 12
29.87 deg, intensity 100
32.01 deg, intensity 14
34.20 deg, intensity 9
37.19 deg, intensity 13
40.12 deg, intensity 28
45.26 deg, intensity 36
49.99 deg, intensity 10
55.22 deg, intensity 12
57.97 deg, intensity 8
62.06 deg, intensity 8
74.00 deg, intensity 10

***

(7)
For KYZn2F8, a crystal structure in Alexandria, relaxed with GGA-PBE gives the simulated X-ray powder pattern in this record (Cu Kα, 1.54184 Å).

a b c (Å): 5.2767 5.2767 24.9734
angles (deg): 90.00 90.00 120.00
Space group R32 (No. 155, hexagonal axes)
Unique sites:
K: 0.0000 0.0000 0.0000 x3
Y: 0.0000 0.0000 0.5000 x3
Zn: 0.0000 0.0000 0.2567 x6
F: 0.0000 0.0000 0.3310 x6
F: 0.0057 0.3460 0.1109 x18

Largest 12 diffraction maxima, low angle first, 15 to 90 degrees two-theta:
19.75 deg, intensity 16
24.13 deg, intensity 100
26.44 deg, intensity 12
33.98 deg, intensity 46
34.80 deg, intensity 33
42.11 deg, intensity 20
47.56 deg, intensity 11
49.43 deg, intensity 13
55.18 deg, intensity 19
56.31 deg, intensity 30
60.81 deg, intensity 18
61.34 deg, intensity 13

***

(8)
For KH2PtO4, a crystal structure in Alexandria, relaxed with GGA-PBE gives the simulated X-ray powder pattern in this record (Cu Kα, 1.54184 Å).

a b c (Å): 5.025 6.507 7.491
angles (deg): 90.00 90.00 90.00
Space group Immm (No. 71)
Unique sites:
K: 0.000 0.000 0.000 x2
H: 0.000 0.500 0.165 x4
Pt: 0.000 0.000 0.500 x2
O: 0.238 0.500 0.182 x8

Largest 12 diffraction maxima, low angle first, 15 to 90 degrees two-theta:
18.06 deg, intensity 100
21.29 deg, intensity 43
22.35 deg, intensity 94
23.76 deg, intensity 27
27.41 deg, intensity 54
32.85 deg, intensity 80
34.97 deg, intensity 26
40.32 deg, intensity 24
43.39 deg, intensity 35
45.58 deg, intensity 23
52.04 deg, intensity 49
54.13 deg, intensity 19